(1)
The following is a theoretical powder diffraction line list of Ce3Tl4AgSe8. It was derived from a crystal structure in Alexandria, relaxed with PBE, using Cu Kα X-rays.

Structural model:
abc: 7.3507 7.3507 7.7743
angles: 90.15 90.15 92.59
Atoms (fractional coordinates):
Ce1 0.0000 0.0000 0.0000
Ce2 0.0000 0.5000 0.0000
Ce3 0.5000 0.0000 0.0000
Tl1 0.0000 0.0000 0.5000
Tl2 0.0000 0.5000 0.5000
Tl3 0.5000 0.0000 0.5000
Tl4 0.5000 0.5000 0.5000
Ag1 0.5000 0.5000 0.0000
Se1 0.2360 0.7633 0.2140
Se2 0.2367 0.7640 0.7860
Se3 0.2549 0.2549 0.2091
Se4 0.2574 0.2574 0.7936
Se5 0.7426 0.7426 0.2064
Se6 0.7451 0.7451 0.7909
Se7 0.7633 0.2360 0.2140
Se8 0.7640 0.2367 0.7860

Largest 8 diffraction maxima, low angle first, 10 to 90 degrees two-theta:
2θ (°)  I/Imax
22.9  11
24.2  15
26.9  9
33.6  100
33.7  26
35.3  24
49.7  18
60.2  18

=====

(2)
The following is a theoretical powder diffraction line list of Pr3NdP4. It was derived from a crystal structure in Alexandria, relaxed with PBE, using Cu Kα X-rays.

Structural model:
abc: 5.9316 5.9316 5.9316
angles: 90.00 90.00 90.00
Atoms (fractional coordinates):
Pr1 0.0000 0.0000 0.5000
Pr2 0.0000 0.5000 0.0000
Pr3 0.5000 0.0000 0.0000
Nd1 0.5000 0.5000 0.5000
P1 0.0000 0.0000 0.0000
P2 0.0000 0.5000 0.5000
P3 0.5000 0.0000 0.5000
P4 0.5000 0.5000 0.0000

Largest 8 diffraction maxima, low angle first, 10 to 90 degrees two-theta:
2θ (°)  I/Imax
26.0  78
30.1  100
43.1  74
51.1  39
53.5  26
69.0  16
71.1  33
79.1  25

=====

(3)
The following is a theoretical powder diffraction line list of Ba4InPd2. It was derived from a crystal structure in Alexandria, relaxed with PBE, using Cu Kα X-rays.

Structural model:
abc: 6.4386 6.4386 21.3984
angles: 90.00 90.00 137.81
Atoms (fractional coordinates):
Ba1 0.0000 0.0000 0.0000
Ba2 0.0000 0.0000 0.5000
Ba3 0.2762 0.7238 0.6229
Ba4 0.2762 0.7238 0.8771
Ba5 0.4378 0.5622 0.2500
Ba6 0.5622 0.4378 0.7500
Ba7 0.7238 0.2762 0.1229
Ba8 0.7238 0.2762 0.3771
In1 0.1486 0.8514 0.2500
In2 0.8514 0.1486 0.7500
Pd1 0.2995 0.7005 0.0268
Pd2 0.2995 0.7005 0.4732
Pd3 0.7005 0.2995 0.5268
Pd4 0.7005 0.2995 0.9732

Largest 8 diffraction maxima, low angle first, 10 to 90 degrees two-theta:
2θ (°)  I/Imax
16.6  38
22.2  54
24.1  41
29.4  100
29.8  50
30.7  86
33.5  38
38.9  39

=====

(4)
The following is a theoretical powder diffraction line list of Ho3Hg2Ru. It was derived from a crystal structure in Alexandria, relaxed with PBE, using Cu Kα X-rays.

Structural model:
abc: 5.0550 7.3828 7.9240
angles: 90.00 108.50 90.00
Atoms (fractional coordinates):
Ho1 0.0000 0.2339 0.0000
Ho2 0.0000 0.7661 0.0000
Ho3 0.3257 0.2251 0.6520
Ho4 0.3257 0.7749 0.6520
Ho5 0.6743 0.2251 0.3480
Ho6 0.6743 0.7749 0.3480
Hg1 0.1666 0.5000 0.3308
Hg2 0.5000 0.0000 0.0000
Hg3 0.5000 0.5000 0.0000
Hg4 0.8334 0.5000 0.6692
Ru1 0.1655 0.0000 0.3316
Ru2 0.8345 0.0000 0.6684

Largest 8 diffraction maxima, low angle first, 10 to 90 degrees two-theta:
2θ (°)  I/Imax
35.0  100
35.5  25
35.9  24
49.4  9
51.3  9
51.4  9
63.5  18
63.9  17

=====

(5)
The following is a theoretical powder diffraction line list of CdAg3B. It was derived from a crystal structure in Alexandria, relaxed with PBE, using Cu Kα X-rays.

Structural model:
abc: 4.4141 4.4141 4.4141
angles: 90.00 90.00 90.00
Atoms (fractional coordinates):
Cd1 0.0000 0.0000 0.0000
Ag1 0.0000 0.5000 0.5000
Ag2 0.5000 0.0000 0.5000
Ag3 0.5000 0.5000 0.0000
B1 0.5000 0.5000 0.5000

Largest 6 diffraction maxima, low angle first, 10 to 90 degrees two-theta:
2θ (°)  I/Imax
35.2  100
40.9  52
59.2  33
70.8  36
74.5  11
88.6  5